# Nb3Cl8
Simulated X-ray diffraction stick pattern, Cu Ka. Input: a structure optimized by DFT (PBE).

Main lines, low angle first (15 to 90 degrees two-theta):
h k l  2θ (°)  intensity
0 1 1  16.31  20
1 0 2  19.80  31
0 1 4  30.07  11
2 0 2  32.96  100
2 0 4  40.22  76
2 1 1  40.89  17
1 2 3  45.11  15
0 2 6  50.37  43
2 2 0  53.66  25
2 2 2  55.44  11

a b c (Å): 6.8314 6.8314 13.7489
angles (deg): 90.00 90.00 120.00
Space group P-3m1 (No. 164)
Inequivalent atoms, fractional coordinates:
1 Nb 0.0568 0.5284 0.2534 [6 per cell]
2 Cl 0.1658 0.3317 0.6481 [6 per cell]
3 Cl 0.1697 0.3393 0.1330 [6 per cell]
4 Cl 0.3333 0.6667 0.3872 [2 per cell]
5 Cl 0.3333 0.6667 0.8446 [2 per cell]

---

# La2MgNbO6
Simulated X-ray diffraction stick pattern, Cu Ka. Input: a structure optimized by DFT (PBE).

Main lines, low angle first (15 to 90 degrees two-theta):
h k l  2θ (°)  intensity
1 1 1  19.12  9
2 0 0  22.12  12
2 2 0  31.48  100
2 2 2  38.80  18
4 0 0  45.11  33
4 2 0  50.79  6
4 2 2  56.04  40
4 4 0  65.71  20
6 2 0  74.68  17
4 4 4  83.27  7

a b c (Å): 8.039 8.039 8.039
angles (deg): 90.00 90.00 90.00
Space group Fm-3m (No. 225)
Inequivalent atoms, fractional coordinates:
1 La 0.250 0.250 0.250 [8 per cell]
2 Mg 0.000 0.000 0.000 [4 per cell]
3 Nb 0.000 0.000 0.500 [4 per cell]
4 O 0.000 0.000 0.249 [24 per cell]